Starting from a GGA-PBE-relaxed structure, the XRD peak list of NdZn2PdAu2 was computed for a wavelength of 1.5418 Å.

Largest 10 diffraction maxima, by intensity, 10 to 80 degrees two-theta:
| d_spacing | 2θ (°) | I_rel |
| --- | --- | --- |
| 2.394 | 37.6 | 100.0 |
| 3.403 | 26.2 | 77.5 |
| 2.407 | 37.4 | 75.9 |
| 1.697 | 54.0 | 70.5 |
| 1.702 | 53.9 | 26.3 |
| 1.202 | 79.8 | 23.0 |
| 1.387 | 67.5 | 18.1 |
| 2.897 | 30.9 | 15.8 |
| 1.522 | 60.9 | 15.4 |
| 2.144 | 42.2 | 14.2 |

Unit cell a=4.813 b=4.813 c=5.520 alpha=90.00 beta=90.00 gamma=90.00
Positions (direct):
1 Nd 0.000 0.000 0.000
2 Zn 0.000 0.500 0.500
3 Zn 0.500 0.000 0.500
4 Pd 0.000 0.000 0.500
5 Au 0.500 0.500 0.243
6 Au 0.500 0.500 0.757



Starting from a GGA-PBE-relaxed structure, the XRD peak list of Pm3NdEr8 was computed for a wavelength of 1.5418 Å.

Largest 10 diffraction maxima, by intensity, 10 to 80 degrees two-theta:
| d_spacing | 2θ (°) | I_rel |
| --- | --- | --- |
| 2.823 | 31.7 | 100.0 |
| 2.789 | 32.1 | 68.6 |
| 2.850 | 31.4 | 52.1 |
| 2.503 | 35.9 | 41.7 |
| 1.411 | 66.2 | 24.4 |
| 1.766 | 51.8 | 21.9 |
| 2.534 | 35.4 | 21.9 |
| 1.624 | 56.7 | 19.5 |
| 3.249 | 27.5 | 17.7 |
| 1.640 | 56.1 | 17.3 |

Unit cell a=8.644 b=8.644 c=8.644 alpha=136.54 beta=98.26 gamma=97.50
Positions (direct):
1 Pm 0.000 0.000 0.000
2 Pm 0.249 0.749 0.500
3 Pm 0.751 0.251 0.500
4 Nd 0.500 0.500 0.000
5 Er 0.079 0.250 0.829
6 Er 0.249 0.250 0.500
7 Er 0.249 0.750 0.999
8 Er 0.421 0.250 0.171
9 Er 0.579 0.750 0.829
10 Er 0.751 0.250 0.001
11 Er 0.751 0.750 0.500
12 Er 0.921 0.750 0.171



Starting from a GGA-PBE-relaxed structure, the XRD peak list of K2Cd9Ag3 was computed for a wavelength of 1.5418 Å.

Largest 10 diffraction maxima, by intensity, 10 to 80 degrees two-theta:
| d_spacing | 2θ (°) | I_rel |
| --- | --- | --- |
| 2.481 | 36.2 | 100.0 |
| 2.251 | 40.1 | 65.6 |
| 2.766 | 32.4 | 59.8 |
| 2.754 | 32.5 | 55.0 |
| 2.790 | 32.1 | 54.8 |
| 5.428 | 16.3 | 53.8 |
| 2.494 | 36.0 | 51.4 |
| 2.263 | 39.8 | 45.5 |
| 2.281 | 39.5 | 36.7 |
| 2.714 | 33.0 | 36.6 |

Unit cell a=8.626 b=8.626 c=12.017 alpha=111.84 beta=111.84 gamma=59.65
Positions (direct):
1 K 0.085 0.251 0.248
2 K 0.251 0.085 0.748
3 K 0.749 0.915 0.252
4 K 0.915 0.749 0.752
5 Cd 0.029 0.849 0.067
6 Cd 0.151 0.971 0.433
7 Cd 0.195 0.356 0.564
8 Cd 0.216 0.581 0.255
9 Cd 0.319 0.482 0.947
10 Cd 0.356 0.195 0.064
11 Cd 0.375 0.625 0.750
12 Cd 0.419 0.784 0.245
13 Cd 0.482 0.319 0.447
14 Cd 0.518 0.681 0.553
15 Cd 0.581 0.216 0.755
16 Cd 0.625 0.375 0.250
17 Cd 0.644 0.805 0.936
18 Cd 0.681 0.518 0.053
19 Cd 0.784 0.419 0.745
20 Cd 0.805 0.644 0.436
21 Cd 0.849 0.029 0.567
22 Cd 0.971 0.151 0.933
23 Ag 0.000 0.500 0.000
24 Ag 0.150 0.676 0.500
25 Ag 0.324 0.850 0.000
26 Ag 0.500 0.000 0.500
27 Ag 0.676 0.150 0.000
28 Ag 0.850 0.324 0.500



Starting from a GGA-PBE-relaxed structure, the XRD peak list of CaHo4Ge4 was computed for a wavelength of 1.5418 Å.

Largest 10 diffraction maxima, by intensity, 10 to 80 degrees two-theta:
| d_spacing | 2θ (°) | I_rel |
| --- | --- | --- |
| 6.640 | 13.3 | 100.0 |
| 2.970 | 30.1 | 90.2 |
| 2.759 | 32.5 | 82.4 |
| 2.121 | 42.6 | 71.9 |
| 2.375 | 37.9 | 47.8 |
| 3.396 | 26.2 | 32.2 |
| 1.788 | 51.1 | 31.7 |
| 2.348 | 38.3 | 31.1 |
| 2.879 | 31.1 | 30.3 |
| 1.574 | 58.6 | 29.0 |

Unit cell a=9.391 b=9.391 c=5.772 alpha=90.00 beta=90.00 gamma=90.00
Positions (direct):
1 Ca 0.250 0.250 0.250
2 Ca 0.750 0.750 0.750
3 Ho 0.106 0.636 0.135
4 Ho 0.136 0.894 0.635
5 Ho 0.364 0.606 0.635
6 Ho 0.394 0.864 0.135
7 Ho 0.606 0.136 0.865
8 Ho 0.636 0.394 0.365
9 Ho 0.864 0.106 0.365
10 Ho 0.894 0.364 0.865
11 Ge 0.051 0.594 0.646
12 Ge 0.094 0.949 0.146
13 Ge 0.406 0.551 0.146
14 Ge 0.449 0.906 0.646
15 Ge 0.551 0.094 0.354
16 Ge 0.594 0.449 0.854
17 Ge 0.906 0.051 0.854
18 Ge 0.949 0.406 0.354



Starting from a GGA-PBE-relaxed structure, the XRD peak list of LiH7Rh2 was computed for a wavelength of 1.5418 Å.

Largest 10 diffraction maxima, by intensity, 10 to 80 degrees two-theta:
| d_spacing | 2θ (°) | I_rel |
| --- | --- | --- |
| 4.203 | 21.1 | 100.0 |
| 3.351 | 26.6 | 87.9 |
| 2.620 | 34.2 | 62.4 |
| 2.764 | 32.4 | 54.5 |
| 2.499 | 35.9 | 52.2 |
| 1.902 | 47.8 | 47.6 |
| 2.004 | 45.3 | 45.1 |
| 2.132 | 42.4 | 44.4 |
| 2.310 | 39.0 | 39.3 |
| 4.619 | 19.2 | 31.8 |

Unit cell a=5.031 b=5.031 c=3.351 alpha=90.00 beta=90.00 gamma=113.34
Positions (direct):
1 Li 0.000 0.000 0.000
2 H 0.067 0.340 0.500
3 H 0.327 0.673 0.000
4 H 0.340 0.067 0.500
5 H 0.500 0.500 0.500
6 H 0.660 0.933 0.500
7 H 0.673 0.327 0.000
8 H 0.933 0.660 0.500
9 Rh 0.298 0.702 0.500
10 Rh 0.702 0.298 0.500



Starting from a GGA-PBE-relaxed structure, the XRD peak list of Sm3Ga3Ir2 was computed for a wavelength of 1.5418 Å.

Largest 10 diffraction maxima, by intensity, 10 to 80 degrees two-theta:
| d_spacing | 2θ (°) | I_rel |
| --- | --- | --- |
| 2.479 | 36.2 | 100.0 |
| 2.389 | 37.6 | 97.7 |
| 2.667 | 33.6 | 86.8 |
| 2.407 | 37.4 | 80.3 |
| 2.747 | 32.6 | 64.0 |
| 2.206 | 40.9 | 59.7 |
| 2.533 | 35.4 | 44.3 |
| 1.694 | 54.1 | 39.0 |
| 3.432 | 26.0 | 34.6 |
| 3.800 | 23.4 | 31.9 |

Unit cell a=7.947 b=15.198 c=5.764 alpha=90.00 beta=90.00 gamma=90.00
Positions (direct):
1 Sm 0.033 0.108 0.113
2 Sm 0.033 0.392 0.113
3 Sm 0.165 0.250 0.628
4 Sm 0.335 0.750 0.128
5 Sm 0.467 0.608 0.613
6 Sm 0.467 0.892 0.613
7 Sm 0.533 0.108 0.387
8 Sm 0.533 0.392 0.387
9 Sm 0.665 0.250 0.872
10 Sm 0.835 0.750 0.372
11 Sm 0.967 0.608 0.887
12 Sm 0.967 0.892 0.887
13 Ga 0.170 0.038 0.601
14 Ga 0.170 0.462 0.601
15 Ga 0.175 0.750 0.619
16 Ga 0.325 0.250 0.119
17 Ga 0.330 0.538 0.101
18 Ga 0.330 0.962 0.101
19 Ga 0.670 0.038 0.899
20 Ga 0.670 0.462 0.899
21 Ga 0.675 0.750 0.881
22 Ga 0.825 0.250 0.381
23 Ga 0.830 0.538 0.399
24 Ga 0.830 0.962 0.399
25 Ir 0.123 0.606 0.377
26 Ir 0.123 0.894 0.377
27 Ir 0.377 0.106 0.877
28 Ir 0.377 0.394 0.877
29 Ir 0.623 0.606 0.123
30 Ir 0.623 0.894 0.123
31 Ir 0.877 0.106 0.623
32 Ir 0.877 0.394 0.623



Starting from a GGA-PBE-relaxed structure, the XRD peak list of NbSb3O8 was computed for a wavelength of 1.5418 Å.

Largest 10 diffraction maxima, by intensity, 10 to 80 degrees two-theta:
| d_spacing | 2θ (°) | I_rel |
| --- | --- | --- |
| 3.157 | 28.3 | 100.0 |
| 3.548 | 25.1 | 32.9 |
| 2.994 | 29.8 | 28.7 |
| 1.758 | 52.0 | 20.3 |
| 1.910 | 47.6 | 15.7 |
| 2.726 | 32.9 | 14.2 |
| 1.748 | 52.3 | 10.9 |
| 2.481 | 36.2 | 10.4 |
| 2.537 | 35.4 | 10.4 |
| 1.509 | 61.4 | 10.1 |

Unit cell a=4.962 b=5.603 c=12.958 alpha=90.00 beta=112.47 gamma=90.00
Positions (direct):
1 Nb 0.000 0.121 0.000
2 Nb 0.000 0.879 0.500
3 Sb 0.296 0.271 0.744
4 Sb 0.296 0.729 0.244
5 Sb 0.484 0.382 0.493
6 Sb 0.484 0.618 0.993
7 Sb 0.713 0.220 0.251
8 Sb 0.713 0.780 0.751
9 O 0.141 0.170 0.432
10 O 0.141 0.830 0.932
11 O 0.231 0.329 0.938
12 O 0.231 0.671 0.438
13 O 0.315 0.067 0.148
14 O 0.315 0.933 0.648
15 O 0.488 0.431 0.648
16 O 0.488 0.569 0.148
17 O 0.500 0.403 0.335
18 O 0.500 0.597 0.835
19 O 0.674 0.095 0.836
20 O 0.674 0.905 0.336
21 O 0.763 0.116 0.545
22 O 0.763 0.884 0.045
23 O 0.822 0.388 0.041
24 O 0.822 0.612 0.541



Starting from a GGA-PBE-relaxed structure, the XRD peak list of Nd7Cu3 was computed for a wavelength of 1.5418 Å.

Largest 10 diffraction maxima, by intensity, 10 to 80 degrees two-theta:
| d_spacing | 2θ (°) | I_rel |
| --- | --- | --- |
| 2.950 | 30.3 | 100.0 |
| 2.666 | 33.6 | 45.7 |
| 2.579 | 34.8 | 40.7 |
| 2.992 | 29.9 | 40.1 |
| 1.697 | 54.0 | 39.5 |
| 2.543 | 35.3 | 34.4 |
| 1.706 | 53.7 | 25.0 |
| 1.719 | 53.3 | 21.4 |
| 3.330 | 26.8 | 17.1 |
| 2.936 | 30.4 | 13.8 |

Unit cell a=10.172 b=10.172 c=6.361 alpha=90.00 beta=90.00 gamma=120.00
Positions (direct):
1 Nd 0.076 0.538 0.000
2 Nd 0.127 0.254 0.698
3 Nd 0.127 0.873 0.698
4 Nd 0.254 0.127 0.198
5 Nd 0.333 0.667 0.513
6 Nd 0.462 0.538 0.000
7 Nd 0.462 0.924 0.000
8 Nd 0.538 0.076 0.500
9 Nd 0.538 0.462 0.500
10 Nd 0.667 0.333 0.013
11 Nd 0.746 0.873 0.698
12 Nd 0.873 0.127 0.198
13 Nd 0.873 0.746 0.198
14 Nd 0.924 0.462 0.500
15 Cu 0.190 0.380 0.267
16 Cu 0.190 0.810 0.267
17 Cu 0.380 0.190 0.767
18 Cu 0.620 0.810 0.267
19 Cu 0.810 0.190 0.767
20 Cu 0.810 0.620 0.767



Starting from a GGA-PBE-relaxed structure, the XRD peak list of NiPt2Rh4 was computed for a wavelength of 1.5418 Å.

Largest 10 diffraction maxima, by intensity, 10 to 80 degrees two-theta:
| d_spacing | 2θ (°) | I_rel |
| --- | --- | --- |
| 2.284 | 39.5 | 100.0 |
| 2.221 | 40.6 | 90.9 |
| 2.175 | 41.5 | 80.4 |
| 2.476 | 36.3 | 77.8 |
| 2.191 | 41.2 | 66.9 |
| 2.236 | 40.3 | 66.5 |
| 2.293 | 39.3 | 48.9 |
| 2.197 | 41.1 | 43.7 |
| 1.991 | 45.6 | 39.9 |
| 2.184 | 41.3 | 38.1 |

Unit cell a=5.246 b=6.843 c=6.924 alpha=118.41 beta=100.05 gamma=99.41
Positions (direct):
1 Ni 0.000 0.000 0.000
2 Ni 0.167 0.742 0.605
3 Pt 0.147 0.161 0.737
4 Pt 0.534 0.824 0.221
5 Pt 0.666 0.424 0.962
6 Pt 0.676 0.559 0.399
7 Rh 0.050 0.846 0.291
8 Rh 0.085 0.590 0.861
9 Rh 0.156 0.442 0.180
10 Rh 0.466 0.240 0.491
11 Rh 0.495 0.098 0.055
12 Rh 0.574 0.684 0.793
13 Rh 0.632 0.990 0.669
14 Rh 0.959 0.266 0.414



Starting from a GGA-PBE-relaxed structure, the XRD peak list of ZrV2 was computed for a wavelength of 1.5418 Å.

Largest 10 diffraction maxima, by intensity, 10 to 80 degrees two-theta:
| d_spacing | 2θ (°) | I_rel |
| --- | --- | --- |
| 2.291 | 39.3 | 100.0 |
| 2.137 | 42.3 | 74.2 |
| 2.940 | 30.4 | 66.7 |
| 2.331 | 38.6 | 54.4 |
| 2.531 | 35.5 | 43.8 |
| 2.390 | 37.6 | 40.5 |
| 1.864 | 48.9 | 33.1 |
| 2.696 | 33.2 | 24.0 |
| 2.585 | 34.7 | 22.7 |
| 1.456 | 64.0 | 22.7 |

Unit cell a=5.392 b=5.495 c=5.495 alpha=39.65 beta=90.00 gamma=90.00
Positions (direct):
1 Zr 0.000 0.000 0.000
2 Zr 0.500 0.427 0.427
3 V 0.000 0.287 0.287
4 V 0.245 0.707 0.707
5 V 0.500 0.146 0.146
6 V 0.755 0.707 0.707



Starting from a GGA-PBE-relaxed structure, the XRD peak list of ThZr4Ga4 was computed for a wavelength of 1.5418 Å.

Largest 10 diffraction maxima, by intensity, 10 to 80 degrees two-theta:
| d_spacing | 2θ (°) | I_rel |
| --- | --- | --- |
| 2.851 | 31.4 | 100.0 |
| 4.644 | 19.1 | 59.5 |
| 3.235 | 27.6 | 52.2 |
| 2.270 | 39.7 | 44.4 |
| 2.013 | 45.0 | 43.4 |
| 2.595 | 34.6 | 39.9 |
| 2.028 | 44.7 | 31.9 |
| 3.188 | 28.0 | 25.9 |
| 1.964 | 46.2 | 22.5 |
| 1.502 | 61.8 | 13.7 |

Unit cell a=9.016 b=9.016 c=5.419 alpha=90.00 beta=90.00 gamma=90.00
Positions (direct):
1 Th 0.250 0.250 0.250
2 Th 0.750 0.750 0.750
3 Zr 0.118 0.638 0.141
4 Zr 0.138 0.882 0.641
5 Zr 0.362 0.618 0.641
6 Zr 0.382 0.862 0.141
7 Zr 0.618 0.138 0.859
8 Zr 0.638 0.382 0.359
9 Zr 0.862 0.118 0.359
10 Zr 0.882 0.362 0.859
11 Ga 0.060 0.581 0.654
12 Ga 0.081 0.940 0.154
13 Ga 0.419 0.560 0.154
14 Ga 0.440 0.919 0.654
15 Ga 0.560 0.081 0.346
16 Ga 0.581 0.440 0.846
17 Ga 0.919 0.060 0.846
18 Ga 0.940 0.419 0.346



Question: Number 5 is which compound?
Answer: LiH7Rh2